Entry 1:
Structure and theoretical powder X-ray diffraction pattern of Al3V12C8 (the GGA-PBE geometry in the Materials Project; Cu Ka).

Top 12 peaks for 2θ = 15–90°, most intense first:
43.0°, intensity 100; 40.8°, intensity 74; 39.0°, intensity 44; 63.7°, intensity 43; 39.8°, intensity 40; 77.7°, intensity 28; 36.4°, intensity 27; 15.6°, intensity 20; 77.2°, intensity 20; 57.7°, intensity 15; 35.7°, intensity 15; 79.9°, intensity 14

Structural model:
Unit cell a=5.0629 b=5.0629 c=22.6761 alpha=90.00 beta=90.00 gamma=120.00
Sites, in units of the cell vectors:
Al 0.0000 0.3295 0.2500
Al 0.0000 0.6705 0.7500
Al 0.3295 0.0000 0.2500
Al 0.3295 0.3295 0.7500
Al 0.6705 0.0000 0.7500
Al 0.6705 0.6705 0.2500
V 0.0000 0.0000 0.1528
V 0.0000 0.0000 0.3472
V 0.0000 0.0000 0.6528
V 0.0000 0.0000 0.8472
V 0.0000 0.3538 0.0547
V 0.0000 0.3538 0.4453
V 0.0000 0.6462 0.5547
V 0.0000 0.6462 0.9453
V 0.3333 0.6667 0.1562
V 0.3333 0.6667 0.3438
V 0.3333 0.6667 0.6562
V 0.3333 0.6667 0.8438
V 0.3538 0.0000 0.0547
V 0.3538 0.0000 0.4453
V 0.3538 0.3538 0.5547
V 0.3538 0.3538 0.9453
V 0.6462 0.0000 0.5547
V 0.6462 0.0000 0.9453
V 0.6462 0.6462 0.0547
V 0.6462 0.6462 0.4453
V 0.6667 0.3333 0.1562
V 0.6667 0.3333 0.3438
V 0.6667 0.3333 0.6562
V 0.6667 0.3333 0.8438
C 0.0000 0.3327 0.6066
C 0.0000 0.3327 0.8934
C 0.0000 0.6673 0.1066
C 0.0000 0.6673 0.3934
C 0.3327 0.0000 0.6066
C 0.3327 0.0000 0.8934
C 0.3327 0.3327 0.1066
C 0.3327 0.3327 0.3934
C 0.3333 0.6667 0.0000
C 0.3333 0.6667 0.5000
C 0.6673 0.0000 0.1066
C 0.6673 0.0000 0.3934
C 0.6667 0.3333 0.0000
C 0.6667 0.3333 0.5000
C 0.6673 0.6673 0.6066
C 0.6673 0.6673 0.8934



Entry 2:
Structure and theoretical powder X-ray diffraction pattern of K3ZnPCO7 (the GGA-PBE geometry in the Materials Project; Cu Ka).

Top 12 peaks for 2θ = 15–90°, most intense first:
31.5°, intensity 100; 31.9°, intensity 82; 31.5°, intensity 51; 32.2°, intensity 37; 25.4°, intensity 37; 45.6°, intensity 28; 43.0°, intensity 22; 52.2°, intensity 20; 39.5°, intensity 16; 62.5°, intensity 16; 27.3°, intensity 14; 15.6°, intensity 14

Structural model:
Unit cell a=5.6063 b=7.0120 c=9.6822 alpha=90.00 beta=90.63 gamma=90.00
Sites, in units of the cell vectors:
K 0.2375 0.2500 0.4221
K 0.2586 0.5111 0.7721
K 0.2586 0.9889 0.7721
K 0.7414 0.0111 0.2279
K 0.7414 0.4889 0.2279
K 0.7625 0.7500 0.5779
Zn 0.2260 0.7500 0.1352
Zn 0.7740 0.2500 0.8648
P 0.2814 0.2500 0.0741
P 0.7186 0.7500 0.9259
C 0.2594 0.7500 0.4128
C 0.7406 0.2500 0.5872
O 0.0577 0.7500 0.3440
O 0.1123 0.2500 0.9459
O 0.2406 0.0701 0.1660
O 0.2406 0.4299 0.1660
O 0.2638 0.7500 0.5468
O 0.4527 0.7500 0.9756
O 0.4564 0.7500 0.3421
O 0.5436 0.2500 0.6579
O 0.5473 0.2500 0.0244
O 0.7362 0.2500 0.4532
O 0.7594 0.5701 0.8340
O 0.7594 0.9299 0.8340
O 0.8877 0.7500 0.0541
O 0.9423 0.2500 0.6560



Entry 3:
Structure and theoretical powder X-ray diffraction pattern of Lu2Fe12P7 (the GGA-PBE geometry in the Materials Project; Cu Ka).

Top 12 peaks for 2θ = 15–90°, most intense first:
39.6°, intensity 100; 50.4°, intensity 17; 54.3°, intensity 17; 27.2°, intensity 15; 57.9°, intensity 12; 34.8°, intensity 12; 77.3°, intensity 12; 87.5°, intensity 10; 30.6°, intensity 10; 40.4°, intensity 10; 49.4°, intensity 10; 42.1°, intensity 10

Structural model:
Unit cell a=8.9294 b=3.6194 c=8.9307 alpha=90.00 beta=119.94 gamma=90.00
Sites, in units of the cell vectors:
Lu 0.0000 0.0000 0.0000
Lu 0.3328 0.5000 0.6662
Fe 0.0381 0.5000 0.2770
Fe 0.0996 0.0000 0.7176
Fe 0.2387 0.5000 0.9616
Fe 0.2817 0.0000 0.3817
Fe 0.4508 0.0000 0.2130
Fe 0.5098 0.5000 0.4525
Fe 0.5472 0.5000 0.0568
Fe 0.6179 0.0000 0.9000
Fe 0.7226 0.5000 0.7612
Fe 0.7620 0.0000 0.5488
Fe 0.7866 0.0000 0.2377
Fe 0.9424 0.5000 0.4899
P 0.0696 0.0000 0.4473
P 0.2541 0.5000 0.2172
P 0.3769 0.0000 0.9297
P 0.5519 0.0000 0.6219
P 0.6665 0.5000 0.3329
P 0.7829 0.5000 0.0372
P 0.9630 0.5000 0.7457



Entry 4:
Structure and theoretical powder X-ray diffraction pattern of Li2MgPb (the GGA-PBE geometry in the Materials Project; Cu Ka).

Top 12 peaks for 2θ = 15–90°, most intense first:
22.5°, intensity 100; 26.1°, intensity 81; 37.2°, intensity 78; 44.0°, intensity 55; 60.6°, intensity 32; 67.1°, intensity 29; 46.0°, intensity 24; 58.9°, intensity 24; 83.8°, intensity 19; 71.8°, intensity 18; 85.2°, intensity 16; 53.7°, intensity 14

Structural model:
Unit cell a=4.8302 b=4.8302 c=4.8302 alpha=60.00 beta=60.00 gamma=60.00
Sites, in units of the cell vectors:
Li 0.2500 0.2500 0.2500
Li 0.7500 0.7500 0.7500
Mg 0.0000 0.0000 0.0000
Pb 0.5000 0.5000 0.5000



Entry 5:
Structure and theoretical powder X-ray diffraction pattern of MgCuBiO5 (the GGA-PBE geometry in the Materials Project; Cu Ka).

Top 12 peaks for 2θ = 15–90°, most intense first:
17.3°, intensity 100; 24.9°, intensity 56; 29.1°, intensity 44; 35.2°, intensity 38; 23.7°, intensity 26; 20.4°, intensity 24; 34.4°, intensity 23; 34.3°, intensity 22; 56.2°, intensity 21; 24.5°, intensity 21; 33.5°, intensity 20; 17.2°, intensity 19

Structural model:
Unit cell a=5.3915 b=10.3054 c=8.5168 alpha=90.00 beta=108.46 gamma=90.00
Sites, in units of the cell vectors:
Mg 0.0113 0.1000 0.1563
Mg 0.0113 0.4000 0.6563
Mg 0.9887 0.6000 0.3437
Mg 0.9887 0.9000 0.8437
Cu 0.4400 0.6198 0.0704
Cu 0.4400 0.8802 0.5704
Cu 0.5600 0.1198 0.4296
Cu 0.5600 0.3802 0.9296
Bi 0.4544 0.0939 0.8331
Bi 0.4544 0.4061 0.3331
Bi 0.5456 0.5939 0.6669
Bi 0.5456 0.9061 0.1669
O 0.1884 0.5364 0.1890
O 0.1884 0.9636 0.6890
O 0.2478 0.0366 0.0096
O 0.2478 0.4634 0.5096
O 0.2670 0.7254 0.5058
O 0.2670 0.7746 0.0058
O 0.2959 0.2199 0.2755
O 0.2959 0.2801 0.7755
O 0.3493 0.5283 0.8508
O 0.3493 0.9717 0.3508
O 0.6507 0.0283 0.6492
O 0.6507 0.4717 0.1492
O 0.7041 0.7199 0.2245
O 0.7041 0.7801 0.7245
O 0.7330 0.2254 0.9942
O 0.7330 0.2746 0.4942
O 0.7522 0.5366 0.4904
O 0.7522 0.9634 0.9904
O 0.8116 0.0364 0.3110
O 0.8116 0.4636 0.8110



Entry 6:
Structure and theoretical powder X-ray diffraction pattern of Y2MgSe4 (the GGA-PBE geometry in the Materials Project; Cu Ka).

Top 12 peaks for 2θ = 15–90°, most intense first:
35.4°, intensity 100; 34.2°, intensity 95; 29.7°, intensity 92; 32.8°, intensity 77; 47.6°, intensity 58; 23.3°, intensity 55; 27.7°, intensity 51; 31.6°, intensity 39; 49.3°, intensity 38; 49.9°, intensity 31; 39.7°, intensity 31; 39.2°, intensity 27

Structural model:
Unit cell a=8.2668 b=7.6364 c=12.0477 alpha=90.00 beta=90.00 gamma=90.00
Sites, in units of the cell vectors:
Y 0.0521 0.2500 0.1858
Y 0.0664 0.7500 0.4812
Y 0.4336 0.2500 0.9812
Y 0.4479 0.7500 0.6858
Y 0.5521 0.2500 0.3142
Y 0.5664 0.7500 0.0188
Y 0.9336 0.2500 0.5188
Y 0.9479 0.7500 0.8142
Mg 0.1818 0.7500 0.0925
Mg 0.3182 0.2500 0.5925
Mg 0.6818 0.7500 0.4075
Mg 0.8182 0.2500 0.9075
Se 0.1085 0.2500 0.9504
Se 0.1270 0.5007 0.6578
Se 0.1270 0.9993 0.6578
Se 0.2277 0.2500 0.3878
Se 0.2723 0.7500 0.8878
Se 0.3730 0.0007 0.1578
Se 0.3730 0.4993 0.1578
Se 0.3915 0.7500 0.4504
Se 0.6085 0.2500 0.5496
Se 0.6270 0.5007 0.8422
Se 0.6270 0.9993 0.8422
Se 0.7277 0.2500 0.1122
Se 0.7723 0.7500 0.6122
Se 0.8730 0.0007 0.3422
Se 0.8730 0.4993 0.3422
Se 0.8915 0.7500 0.0496